Starting from a DFT-relaxed cell (PBE+U, Alexandria), the X-ray diffraction stick pattern of Li4WO4 was calculated for copper Kα.
Kinematic intensities with the Lorentz-polarization factor, no thermal factor.

Cell and atoms:
Lattice parameters (Å, degrees): 10.146 3.111 7.348 90.00 123.65 90.00
Space group C2/m (No. 12)
Inequivalent atoms, fractional coordinates:
Li: 0.144 0.000 0.391
Li: 0.204 0.500 0.814
W: 0.000 0.500 0.000
O: 0.078 0.000 0.882
O: 0.214 0.500 0.295

The 10 most intense peaks (2θ from 10° to 80°), in order of falling intensity:
| hkl | 2theta | Rel. int. |
| --- | --- | --- |
| 0 0 1 | 14.48 | 1000 |
| 2 0 -1 | 17.72 | 679 |
| 3 1 -2 | 41.13 | 340 |
| 1 1 -1 | 31.32 | 313 |
| 2 0 0 | 21.04 | 278 |
| 1 1 0 | 30.62 | 216 |
| 2 0 -2 | 24.73 | 206 |
| 2 0 1 | 31.73 | 175 |
| 1 1 1 | 36.55 | 156 |
| 5 1 -1 | 56.17 | 143 |